For K2RbAlSb2, a cell relaxed with GGA-PBE gives the theoretical PXRD pattern in this record (Cu Kα).
Lines closer than 0.1° are merged.

Structure:
```
data_K2RbAlSb2
_chemical_formula_sum 'K4 Rb2 Al2 Sb4'
_space_group_name_H-M_alt 'P 1'
_space_group_IT_number 1
_cell_length_a 9.3332
_cell_length_b 9.3332
_cell_length_c 9.3332
_cell_angle_alpha 122.01
_cell_angle_beta 77.15
_cell_angle_gamma 133.82
loop_
_space_group_symop_operation_xyz
'x,y,z'
loop_
_atom_site_label
_atom_site_type_symbol
_atom_site_fract_x
_atom_site_fract_y
_atom_site_fract_z
K1 K 0.1803 0.1763 0.3566
K2 K 0.3197 0.6763 0.9960
K3 K 0.6803 0.3237 0.0040
K4 K 0.8197 0.8237 0.6434
Rb1 Rb 0.2500 0.7500 0.5000
Rb2 Rb 0.7500 0.2500 0.5000
Al1 Al 0.2500 0.2500 0.0000
Al2 Al 0.7500 0.7500 0.0000
Sb1 Sb 0.0916 0.8221 0.9136
Sb2 Sb 0.4084 0.3221 0.7305
Sb3 Sb 0.5916 0.6779 0.2695
Sb4 Sb 0.9084 0.1779 0.0864
```

Main lines, in order of rising 2θ (15 to 90 degrees two-theta):
d 4.488, 19.8°, rel. 84.9
d 3.659, 24.3°, rel. 31.8
d 3.305, 27.0°, rel. 54.4
d 3.071, 29.1°, rel. 92.3
d 3.018, 29.6°, rel. 66.9
d 2.954, 30.3°, rel. 64.3
d 2.844, 31.5°, rel. 100.0
d 2.584, 34.7°, rel. 43.7